SnGe2BrN: computed powder diffraction line list (Cu Kα, 1.54184 Å), based on a DFT-relaxed cell (PBE, Alexandria).
Peak positions follow from Bragg's law for the DFT cell and can differ from measured ones.

Principal peaks in the range 2θ = 10–80°, most intense first:
d (Å)	intensity	index
2.735	100.0	1 1 1
2.217	32.0	2 0 0
2.797	31.1	0 0 2
1.738	29.8	2 0 2
1.360	23.6	3 1 1
1.603	20.2	1 1 3
1.368	13.4	2 2 2
1.568	10.6	2 2 0
4.435	4.1	1 0 0
1.399	3.6	0 0 4
3.136	2.8	1 1 0
2.087	1.7	1 1 2

Structure:
a = 4.435 Å, b = 4.435 Å, c = 5.594 Å
α = 90.00°, β = 90.00°, γ = 90.00°
Sites, in units of the cell vectors:
Sn: 0.000 0.000 0.000
Ge: 0.000 0.500 0.500
Ge: 0.500 0.000 0.500
Br: 0.500 0.500 0.000
N: 0.000 0.000 0.500